# ScOF
Theoretical powder diffraction line list, λ = 1.5418 Å (Cu Kα). Input: a PBE-relaxed structure.
Intensities are scaled so that the largest is 100.

Structural model:
```
data_ScOF
_cell_length_a 5.3400
_cell_length_b 4.9383
_cell_length_c 5.8158
_cell_angle_alpha 90.00
_cell_angle_beta 90.45
_cell_angle_gamma 90.00
_symmetry_space_group_name_H-M 'P 1 21/c 1'
_symmetry_Int_Tables_number 14
_symmetry_space_group_name_Hall '-P 2ybc'
loop_
_atom_site_label
_atom_site_type_symbol
_atom_site_fract_x
_atom_site_fract_y
_atom_site_fract_z
Sc1 Sc 0.2185 0.0155 0.3295
O1 O 0.0805 0.2224 0.6036
F1 F 0.4248 0.7265 0.1179
```

Largest 10 diffraction maxima, in order of falling intensity, 10° ≤ 2θ ≤ 90°:
index	2θ/deg	d (Å)	intensity
1 1 1	29.09	3.069	100
0 1 1	23.64	3.764	70
1 1 -1	28.95	3.084	63
2 2 0	50.34	1.813	39
1 2 -2	51.39	1.778	39
2 1 0	38.32	2.349	26
1 1 -2	39.63	2.274	25
0 1 3	50.58	1.804	25
2 1 -1	41.36	2.183	23
1 3 1	61.03	1.518	21

=====

# ScOF
Theoretical powder diffraction line list, λ = 1.5418 Å (Cu Kα). Input: a PBE-relaxed structure.
Intensities are scaled so that the largest is 100.

Structural model:
```
data_ScOF
_cell_length_a 3.6275
_cell_length_b 3.6275
_cell_length_c 5.1722
_cell_angle_alpha 90.00
_cell_angle_beta 90.00
_cell_angle_gamma 90.00
_symmetry_space_group_name_H-M 'P 4/n m m'
_symmetry_Int_Tables_number 129
loop_
_symmetry_equiv_pos_as_xyz
'x,y,z'
'-x,-y,-z'
'-y+1/2,x,z'
'y+1/2,-x,-z'
'-x+1/2,-y+1/2,z'
'x+1/2,y+1/2,-z'
'y,-x+1/2,z'
'-y,x+1/2,-z'
'x+1/2,-y,-z'
'-x+1/2,y,z'
'-y,-x,-z'
'y,x,z'
'-x,y+1/2,-z'
'x,-y+1/2,z'
'y+1/2,x+1/2,-z'
'-y+1/2,-x+1/2,z'
loop_
_atom_site_label
_atom_site_type_symbol
_atom_site_fract_x
_atom_site_fract_y
_atom_site_fract_z
Sc1 Sc 0.2500 0.2500 0.2059
O1 O 0.2500 0.7500 0.0000
F1 F 0.2500 0.7500 0.5000
```

Largest 10 diffraction maxima, in order of falling intensity, 10° ≤ 2θ ≤ 90°:
index	2θ/deg	d (Å)	intensity
1 0 1	30.09	2.970	100
1 1 2	50.09	1.821	59
2 0 0	50.31	1.814	35
2 1 1	59.74	1.548	24
1 0 2	42.95	2.106	10
2 2 0	73.90	1.283	9
1 1 1	39.20	2.298	6
1 0 3	59.35	1.557	6
0 0 1	17.14	5.172	5
2 1 2	68.25	1.374	5

=====

What did the first record say?
# ScOF
Theoretical powder diffraction line list, λ = 1.5418 Å (Cu Kα). Input: a PBE-relaxed structure.
Intensities are scaled so that the largest is 100.

Structural model:
```
data_ScOF
_cell_length_a 5.3400
_cell_length_b 4.9383
_cell_length_c 5.8158
_cell_angle_alpha 90.00
_cell_angle_beta 90.45
_cell_angle_gamma 90.00
_symmetry_space_group_name_H-M 'P 1 21/c 1'
_symmetry_Int_Tables_number 14
_symmetry_space_group_name_Hall '-P 2ybc'
loop_
_atom_site_label
_atom_site_type_symbol
_atom_site_fract_x
_atom_site_fract_y
_atom_site_fract_z
Sc1 Sc 0.2185 0.0155 0.3295
O1 O 0.0805 0.2224 0.6036
F1 F 0.4248 0.7265 0.1179
```

Largest 10 diffraction maxima, in order of falling intensity, 10° ≤ 2θ ≤ 90°:
index	2θ/deg	d (Å)	intensity
1 1 1	29.09	3.069	100
0 1 1	23.64	3.764	70
1 1 -1	28.95	3.084	63
2 2 0	50.34	1.813	39
1 2 -2	51.39	1.778	39
2 1 0	38.32	2.349	26
1 1 -2	39.63	2.274	25
0 1 3	50.58	1.804	25
2 1 -1	41.36	2.183	23
1 3 1	61.03	1.518	21

=====

Please write out number 2 again, unchanged.
# ScOF
Theoretical powder diffraction line list, λ = 1.5418 Å (Cu Kα). Input: a PBE-relaxed structure.
Intensities are scaled so that the largest is 100.

Structural model:
```
data_ScOF
_cell_length_a 3.6275
_cell_length_b 3.6275
_cell_length_c 5.1722
_cell_angle_alpha 90.00
_cell_angle_beta 90.00
_cell_angle_gamma 90.00
_symmetry_space_group_name_H-M 'P 4/n m m'
_symmetry_Int_Tables_number 129
loop_
_symmetry_equiv_pos_as_xyz
'x,y,z'
'-x,-y,-z'
'-y+1/2,x,z'
'y+1/2,-x,-z'
'-x+1/2,-y+1/2,z'
'x+1/2,y+1/2,-z'
'y,-x+1/2,z'
'-y,x+1/2,-z'
'x+1/2,-y,-z'
'-x+1/2,y,z'
'-y,-x,-z'
'y,x,z'
'-x,y+1/2,-z'
'x,-y+1/2,z'
'y+1/2,x+1/2,-z'
'-y+1/2,-x+1/2,z'
loop_
_atom_site_label
_atom_site_type_symbol
_atom_site_fract_x
_atom_site_fract_y
_atom_site_fract_z
Sc1 Sc 0.2500 0.2500 0.2059
O1 O 0.2500 0.7500 0.0000
F1 F 0.2500 0.7500 0.5000
```

Largest 10 diffraction maxima, in order of falling intensity, 10° ≤ 2θ ≤ 90°:
index	2θ/deg	d (Å)	intensity
1 0 1	30.09	2.970	100
1 1 2	50.09	1.821	59
2 0 0	50.31	1.814	35
2 1 1	59.74	1.548	24
1 0 2	42.95	2.106	10
2 2 0	73.90	1.283	9
1 1 1	39.20	2.298	6
1 0 3	59.35	1.557	6
0 0 1	17.14	5.172	5
2 1 2	68.25	1.374	5